The following is a theoretical powder X-ray diffraction pattern of Ho2HfIn3Ir2. It was derived from a crystal structure in OQMD, relaxed with GGA-PBE, using Cu Kα (λ = 1.5418 Å).

Peak list (12 most intense, 2θ from 10° to 90°, low angle first)
index, 2theta, d [Å], I_rel
0 1 1, 13.34, 6.639, 41
1 0 2, 34.90, 2.571, 43
1 3 1, 35.03, 2.562, 100
0 1 3, 35.70, 2.515, 42
0 4 2, 35.92, 2.500, 37
0 5 1, 36.04, 2.492, 29
1 2 2, 37.55, 2.395, 61
1 4 0, 37.72, 2.385, 42
0 3 3, 40.78, 2.213, 18
2 0 0, 52.94, 1.730, 23
2 1 3, 65.50, 1.425, 14
2 4 2, 65.67, 1.422, 22

Atomic structure:
```
data_Ho2HfIn3Ir2
_cell_length_a 3.4591
_cell_length_b 13.1701
_cell_length_c 7.6866
_cell_angle_alpha 90.00
_cell_angle_beta 90.00
_cell_angle_gamma 90.00
_space_group_name_H-M_alt 'A m m 2'
_space_group_IT_number 38
_space_group_name_Hall 'A 2 -2'
loop_
_atom_site_label
_atom_site_type_symbol
_atom_site_fract_x
_atom_site_fract_y
_atom_site_fract_z
Ho1 Ho 0.0000 0.2099 0.0000
Hf1 Hf 0.0000 0.0000 0.6383
In1 In 0.5000 0.0000 0.9764
In2 In 0.5000 0.1143 0.3300
Ir1 Ir 0.5000 0.1561 0.7051
```